Theoretical PXRD pattern
Compound: LiMgPb2
Radiation: CuKα
Structure: the GGA-PBE geometry in Alexandria
Neutral-atom scattering factors, no anomalous dispersion.

Main lines, low angle first (15 to 90 degrees two-theta):
d [Å], 2theta, I_rel, h k l
3.767, 23.62, 72, 0 1 1
3.066, 29.12, 43, 1 0 1
2.848, 31.41, 82, 1 1 0
2.578, 34.81, 100, 0 1 2
2.392, 37.60, 26, 0 2 0
2.314, 38.91, 46, 1 0 2
1.886, 48.25, 23, 1 2 1
1.663, 55.22, 34, 1 2 2
1.657, 55.46, 19, 1 1 3
1.460, 63.74, 22, 2 1 2

Structure:
```
data_LiMgPb2
_cell_length_a 3.5452
_cell_length_b 4.7843
_cell_length_c 6.1107
_cell_angle_alpha 90.00
_cell_angle_beta 90.00
_cell_angle_gamma 90.00
_symmetry_space_group_name_H-M 'P m m 2'
_symmetry_Int_Tables_number 25
_symmetry_space_group_name_Hall 'P 2 -2'
loop_
_atom_site_label
_atom_site_type_symbol
_atom_site_fract_x
_atom_site_fract_y
_atom_site_fract_z
_atom_site_occupancy
Li1 Li 0.0000 0.0000 0.0000 1
Mg1 Mg 0.5000 0.5000 0.2680 1
Pb1 Pb 0.0000 0.0000 0.4976 1
Pb2 Pb 0.5000 0.5000 0.7747 1
```

---

Theoretical PXRD pattern
Compound: Na3PmC4O12
Radiation: CuKα
Structure: the GGA-PBE geometry in Alexandria
Neutral-atom scattering factors, no anomalous dispersion.

Main lines, low angle first (15 to 90 degrees two-theta):
d [Å], 2theta, I_rel, h k l
5.028, 17.64, 41, 1 1 0
4.005, 22.20, 30, 0 1 2
3.133, 28.49, 100, 2 0 2
3.092, 28.87, 28, 2 1 1
2.659, 33.71, 21, 1 2 2
2.581, 34.76, 18, 1 1 3
2.514, 35.71, 20, 2 2 0
2.333, 38.58, 19, 1 3 1
2.002, 45.29, 26, 0 2 4
1.929, 47.12, 27, 2 2 3

Structure:
```
data_Na3PmC4O12
_cell_length_a 10.0570
_cell_length_b 10.0570
_cell_length_c 9.0201
_cell_angle_alpha 90.00
_cell_angle_beta 90.00
_cell_angle_gamma 120.00
_symmetry_space_group_name_H-M 'R 3 2'
_symmetry_Int_Tables_number 155
_symmetry_space_group_name_Hall 'R 3 2"'
loop_
_atom_site_label
_atom_site_type_symbol
_atom_site_fract_x
_atom_site_fract_y
_atom_site_fract_z
_atom_site_occupancy
Na1 Na 0.0000 0.5269 0.0000 1
Pm1 Pm 0.0000 0.0000 0.0000 1
C1 C 0.0000 0.0000 0.5000 1
C2 C 0.0000 0.4730 0.5000 1
O1 O 0.0000 0.5998 0.5000 1
O2 O 0.0000 0.8730 0.5000 1
O3 O 0.0114 0.2032 0.8433 1
```

---

Theoretical PXRD pattern
Compound: Nd5HoSe6
Radiation: CuKα
Structure: the GGA-PBE geometry in Alexandria
Neutral-atom scattering factors, no anomalous dispersion.

Main lines, low angle first (15 to 90 degrees two-theta):
d [Å], 2theta, I_rel, h k l
3.431, 25.97, 17, 2 0 0
2.971, 30.08, 100, 2 0 -2
2.103, 43.01, 37, 3 3 -1
2.099, 43.10, 37, 2 0 2
1.717, 53.37, 20, 4 0 0
1.712, 53.53, 7, 0 0 4
1.486, 62.52, 12, 4 0 -4
1.330, 70.86, 16, 5 3 -3
1.328, 71.00, 17, 3 3 -5
1.214, 78.84, 14, 6 0 -2

Structure:
```
data_Nd5HoSe6
_cell_length_a 7.2805
_cell_length_b 12.6266
_cell_length_c 7.2668
_cell_angle_alpha 90.00
_cell_angle_beta 109.56
_cell_angle_gamma 90.00
_symmetry_space_group_name_H-M 'C 1 2/m 1'
_symmetry_Int_Tables_number 12
_symmetry_space_group_name_Hall '-C 2y'
loop_
_atom_site_label
_atom_site_type_symbol
_atom_site_fract_x
_atom_site_fract_y
_atom_site_fract_z
_atom_site_occupancy
Nd1 Nd 0.0000 0.0000 0.0000 1
Nd2 Nd 0.0000 0.1677 0.5000 1
Nd3 Nd 0.0000 0.3271 0.0000 1
Ho1 Ho 0.0000 0.5000 0.5000 1
Se1 Se 0.2406 0.5000 0.2523 1
Se2 Se 0.2425 0.3387 0.7429 1
```

---

Theoretical PXRD pattern
Compound: NaCuTe2Se4
Radiation: CuKα
Structure: the GGA-PBE geometry in Alexandria
Neutral-atom scattering factors, no anomalous dispersion.

Main lines, low angle first (15 to 90 degrees two-theta):
d [Å], 2theta, I_rel, h k l
5.531, 16.03, 15, 1 0 1
5.046, 17.58, 13, 1 1 0
3.306, 26.97, 100, 1 1 2
2.523, 35.58, 41, 2 2 0
2.006, 45.21, 44, 3 1 2
1.865, 48.83, 36, 2 0 4
1.784, 51.20, 11, 4 0 0
1.333, 70.66, 10, 5 1 2
1.289, 73.45, 14, 4 2 4
1.225, 78.03, 10, 3 1 6

Structure:
```
data_NaCuTe2Se4
_cell_length_a 7.1365
_cell_length_b 7.1365
_cell_length_c 8.7509
_cell_angle_alpha 90.00
_cell_angle_beta 90.00
_cell_angle_gamma 90.00
_symmetry_space_group_name_H-M 'I -4 2 m'
_symmetry_Int_Tables_number 121
_symmetry_space_group_name_Hall 'I -4 2'
loop_
_atom_site_label
_atom_site_type_symbol
_atom_site_fract_x
_atom_site_fract_y
_atom_site_fract_z
_atom_site_occupancy
Na1 Na 0.0000 0.0000 0.0000 1
Cu1 Cu 0.0000 0.0000 0.5000 1
Te1 Te 0.0000 0.5000 0.2500 1
Se1 Se 0.2137 0.2137 0.6288 1
```

---

Theoretical PXRD pattern
Compound: NaHgBi2
Radiation: CuKα
Structure: the GGA-PBE geometry in Alexandria
Neutral-atom scattering factors, no anomalous dispersion.

Main lines, low angle first (15 to 90 degrees two-theta):
d [Å], 2theta, I_rel, h k l
4.402, 20.17, 12, 0 1 1
2.828, 31.64, 100, 1 2 1
2.705, 33.11, 21, 0 4 0
2.409, 37.32, 14, 0 0 2
2.286, 39.42, 14, 2 0 0
1.799, 50.74, 12, 0 4 2
1.746, 52.40, 12, 2 4 0
1.585, 58.23, 18, 1 6 1
1.414, 66.09, 11, 2 4 2
1.403, 66.65, 12, 3 2 1

Structure:
```
data_NaHgBi2
_cell_length_a 4.5716
_cell_length_b 10.8213
_cell_length_c 4.8189
_cell_angle_alpha 90.00
_cell_angle_beta 90.00
_cell_angle_gamma 90.00
_symmetry_space_group_name_H-M 'P m m n'
_symmetry_Int_Tables_number 59
loop_
_symmetry_equiv_pos_as_xyz
'x,y,z'
'-x,-y,-z'
'-x+1/2,-y+1/2,z'
'x+1/2,y+1/2,-z'
'x+1/2,-y,-z'
'-x+1/2,y,z'
'-x,y+1/2,-z'
'x,-y+1/2,z'
loop_
_atom_site_label
_atom_site_type_symbol
_atom_site_fract_x
_atom_site_fract_y
_atom_site_fract_z
_atom_site_occupancy
Na1 Na 0.2500 0.2500 0.2486 1
Hg1 Hg 0.2500 0.7500 0.2743 1
Bi1 Bi 0.2500 0.0056 0.7757 1
```

---

Theoretical PXRD pattern
Compound: Ba3Ag9Au2
Radiation: CuKα
Structure: the GGA-PBE geometry in Alexandria
Neutral-atom scattering factors, no anomalous dispersion.

Main lines, low angle first (15 to 90 degrees two-theta):
d [Å], 2theta, I_rel, h k l
2.820, 31.73, 100, 1 2 3
2.781, 32.19, 26, 1 3 0
2.765, 32.38, 23, 0 3 3
2.590, 34.63, 23, 1 3 2
2.452, 36.64, 39, 1 0 5
2.412, 37.28, 49, 2 0 0
2.373, 37.91, 19, 0 0 6
2.211, 40.82, 34, 1 2 5
1.520, 60.95, 22, 1 6 3
1.460, 63.76, 20, 3 2 3

Structure:
```
data_Ba3Ag9Au2
_cell_length_a 4.8242
_cell_length_b 10.2091
_cell_length_c 14.2398
_cell_angle_alpha 90.00
_cell_angle_beta 90.00
_cell_angle_gamma 90.00
_symmetry_space_group_name_H-M 'I m m m'
_symmetry_Int_Tables_number 71
_symmetry_space_group_name_Hall '-I 2 2'
loop_
_atom_site_label
_atom_site_type_symbol
_atom_site_fract_x
_atom_site_fract_y
_atom_site_fract_z
_atom_site_occupancy
Ba1 Ba 0.0000 0.0000 0.0000 1
Ba2 Ba 0.0000 0.0000 0.3182 1
Ag1 Ag 0.0000 0.2762 0.1198 1
Ag2 Ag 0.0000 0.3538 0.3188 1
Ag3 Ag 0.0000 0.5000 0.0000 1
Au1 Au 0.0000 0.2292 0.5000 1
```

---

Theoretical PXRD pattern
Compound: TePdF2
Radiation: CuKα
Structure: the GGA-PBE geometry in Alexandria
Neutral-atom scattering factors, no anomalous dispersion.

Main lines, low angle first (15 to 90 degrees two-theta):
d [Å], 2theta, I_rel, h k l
3.889, 22.86, 100, 2 0 0
2.750, 32.56, 52, 2 2 0
2.304, 39.10, 61, 1 1 2
1.945, 46.71, 18, 4 0 0
1.766, 51.76, 53, 3 1 2
1.739, 52.62, 29, 4 2 0
1.486, 62.50, 15, 3 3 2
1.307, 72.26, 19, 5 1 2
1.206, 79.46, 8, 2 0 4
1.181, 81.52, 14, 5 3 2

Structure:
```
data_TePdF2
_cell_length_a 7.7788
_cell_length_b 7.7788
_cell_length_c 5.0748
_cell_angle_alpha 90.00
_cell_angle_beta 90.00
_cell_angle_gamma 90.00
_symmetry_space_group_name_H-M 'I -4 2 d'
_symmetry_Int_Tables_number 122
_symmetry_space_group_name_Hall 'I -4 2bw'
loop_
_atom_site_label
_atom_site_type_symbol
_atom_site_fract_x
_atom_site_fract_y
_atom_site_fract_z
_atom_site_occupancy
Te1 Te 0.0000 0.0000 0.0000 1
Pd1 Pd 0.0000 0.0000 0.5000 1
F1 F 0.1346 0.2500 0.1250 1
```

---

Theoretical PXRD pattern
Compound: NpSbPt
Radiation: CuKα
Structure: the GGA-PBE geometry in Alexandria
Neutral-atom scattering factors, no anomalous dispersion.

Main lines, low angle first (15 to 90 degrees two-theta):
d [Å], 2theta, I_rel, h k l
2.788, 32.10, 100, 1 0 1
2.253, 40.02, 54, 1 1 0
1.993, 45.51, 7, 0 0 2
1.775, 51.49, 13, 0 1 2
1.752, 52.20, 26, 0 2 1
1.493, 62.19, 17, 1 1 2
1.383, 67.74, 24, 2 1 1
1.301, 72.70, 10, 3 0 0
1.258, 75.60, 7, 1 0 3
1.186, 81.12, 7, 1 2 2

Structure:
```
data_NpSbPt
_cell_length_a 4.5057
_cell_length_b 4.5057
_cell_length_c 3.9862
_cell_angle_alpha 90.00
_cell_angle_beta 90.00
_cell_angle_gamma 120.00
_symmetry_space_group_name_H-M 'P 3 m 1'
_symmetry_Int_Tables_number 156
_symmetry_space_group_name_Hall 'P 3 -2"'
loop_
_atom_site_label
_atom_site_type_symbol
_atom_site_fract_x
_atom_site_fract_y
_atom_site_fract_z
_atom_site_occupancy
Np1 Np 0.0000 0.0000 0.0000 1
Sb1 Sb 0.3333 0.6667 0.5293 1
Pt1 Pt 0.6667 0.3333 0.3899 1
```